Starting from the GGA-PBE geometry in Alexandria, the X-ray powder pattern of ZrRhW was calculated for a wavelength of 1.5418 Å.
Kinematic intensities with the Lorentz-polarization factor, no thermal factor.

Largest 12 diffraction maxima, sorted by position, 10° ≤ 2θ ≤ 90°:
12.34°, rel. 46; 37.62°, rel. 100; 38.52°, rel. 98; 40.06°, rel. 52; 43.71°, rel. 44; 51.19°, rel. 18; 58.51°, rel. 17; 60.78°, rel. 17; 68.49°, rel. 13; 72.34°, rel. 10; 73.36°, rel. 15; 82.55°, rel. 10

Crystal structure
```
12
Lattice="2.8569 0.0000 0.0000 0.0000 14.3476 0.0000 -0.9779 0.0000 5.0725" Properties=species:S:1:pos:R:3 pbc="T T T"
Zr -0.2445 1.0793 1.2681
Zr -0.7334 13.2683 3.8043
Zr 0.6951 6.0945 3.8043
Zr 1.1840 8.2531 1.2681
Rh -0.2445 5.7195 1.2681
Rh -0.7334 8.6281 3.8043
Rh 0.6951 1.4543 3.8043
Rh 1.1840 12.8933 1.2681
W 0.7142 3.5869 0.0000
W 0.2253 10.7607 2.5362
W 1.6538 3.5869 2.5362
W 2.1427 10.7607 0.0000
```



Starting from the GGA-PBE geometry in Alexandria, the X-ray powder pattern of K7US6 was calculated for a wavelength of 1.5418 Å.
Kinematic intensities with the Lorentz-polarization factor, no thermal factor.

Largest 12 diffraction maxima, sorted by position, 10° ≤ 2θ ≤ 90°:
12.47°, rel. 100; 13.28°, rel. 29; 14.65°, rel. 63; 21.27°, rel. 30; 23.87°, rel. 20; 24.31°, rel. 67; 25.14°, rel. 38; 31.51°, rel. 25; 32.48°, rel. 36; 33.78°, rel. 69; 35.48°, rel. 35; 38.62°, rel. 23

Crystal structure
```
14
Lattice="4.3817 2.5298 6.6691 -4.3817 2.5298 6.6691 0.0000 -5.0596 6.6691" Properties=species:S:1:pos:R:3 pbc="T T T"
K 0.0000 0.0000 0.0000
K -1.7464 -2.9657 8.9855
K -2.2730 -0.1449 11.6113
K -1.6952 2.9953 8.9854
K 1.2620 -1.8960 11.6114
K 1.0110 2.0409 11.6114
K 3.4416 -0.0296 8.9855
U 0.0000 0.0000 6.9349
S -0.8935 -2.1442 5.5006
S -2.2440 -0.0211 8.3743
S -1.4102 1.8459 5.5006
S 1.1403 -1.9329 8.3743
S 2.3037 0.2983 5.5006
S 1.1038 1.9539 8.3743
```



Starting from the GGA-PBE geometry in Alexandria, the X-ray powder pattern of Sm5Er3As8 was calculated for a wavelength of 1.5418 Å.
Kinematic intensities with the Lorentz-polarization factor, no thermal factor.

Largest 10 diffraction maxima, sorted by position, 10° ≤ 2θ ≤ 90°:
26.20°, rel. 21; 30.35°, rel. 100; 43.45°, rel. 75; 51.45°, rel. 11; 53.91°, rel. 26; 63.13°, rel. 12; 69.56°, rel. 4; 71.64°, rel. 34; 79.75°, rel. 25; 85.69°, rel. 3

Crystal structure
```
16
Lattice="4.1657 2.4051 6.8018 -4.1657 2.4051 6.8018 0.0000 -4.8102 6.8018" Properties=species:S:1:pos:R:3 pbc="T T T"
Sm 0.0000 0.0000 0.0000
Sm -2.0829 -1.2025 6.8018
Sm -2.0829 1.2025 13.6035
Sm 0.0000 2.4051 6.8018
Sm 0.0000 0.0000 10.2027
Er -4.1657 0.0000 10.2026
Er -2.0829 1.2025 3.4009
Er 2.0829 1.2025 3.4009
As -2.1059 -1.2159 11.8654
As 0.0000 0.0000 5.0455
As 0.0000 -2.4317 8.5399
As -2.1059 1.2159 8.5399
As 2.1059 -1.2159 11.8654
As 0.0000 2.4317 11.8654
As 0.0000 0.0000 15.3598
As 2.1059 1.2159 8.5399
```



Starting from the GGA-PBE geometry in Alexandria, the X-ray powder pattern of HfAg4Se4 was calculated for a wavelength of 1.5418 Å.
Kinematic intensities with the Lorentz-polarization factor, no thermal factor.

Largest 12 diffraction maxima, sorted by position, 10° ≤ 2θ ≤ 90°:
15.86°, rel. 42; 24.80°, rel. 80; 26.18°, rel. 15; 28.35°, rel. 16; 38.97°, rel. 15; 40.53°, rel. 53; 41.32°, rel. 100; 48.10°, rel. 24; 49.50°, rel. 14; 58.66°, rel. 17; 74.27°, rel. 33; 75.88°, rel. 15

Crystal structure
```
9
Lattice="-3.1477 3.1477 6.0701 3.1477 -3.1477 6.0701 3.1477 3.1477 -6.0701" Properties=species:S:1:pos:R:3 pbc="T T T"
Hf 0.0000 0.0000 0.0000
Ag 3.1477 0.0000 0.0000
Ag 0.0000 0.0000 3.1439
Ag 0.0000 3.1477 0.0000
Ag 0.0000 0.0000 8.9964
Se 1.6630 -1.6630 4.5820
Se 1.4847 1.4847 1.4882
Se -1.6630 1.6630 4.5820
Se 1.6630 1.6630 7.5583
```



Starting from the GGA-PBE geometry in Alexandria, the X-ray powder pattern of Tm2ZnPd6 was calculated for a wavelength of 1.5418 Å.
Kinematic intensities with the Lorentz-polarization factor, no thermal factor.

Largest 12 diffraction maxima, sorted by position, 10° ≤ 2θ ≤ 90°:
23.22°, rel. 22; 28.90°, rel. 50; 40.63°, rel. 36; 41.10°, rel. 100; 41.24°, rel. 63; 48.09°, rel. 13; 54.21°, rel. 17; 64.73°, rel. 10; 67.82°, rel. 11; 70.14°, rel. 14; 74.10°, rel. 9; 74.46°, rel. 11

Crystal structure
```
9
Lattice="6.8629 -3.7844 0.0000 6.8629 3.7844 0.0000 -0.8132 0.0000 3.2848" Properties=species:S:1:pos:R:3 pbc="T T T"
Tm 1.9975 0.0000 0.4972
Tm 10.9151 0.0000 2.7876
Zn 6.4563 0.0000 1.6424
Pd 4.3079 1.5349 1.1025
Pd 6.8629 1.8969 0.0000
Pd 8.6047 1.5349 2.1823
Pd 4.3079 -1.5349 1.1025
Pd 6.8629 -1.8969 0.0000
Pd 8.6047 -1.5349 2.1823
```



Starting from the GGA-PBE geometry in Alexandria, the X-ray powder pattern of CdCuI4 was calculated for a wavelength of 1.5418 Å.
Kinematic intensities with the Lorentz-polarization factor, no thermal factor.

Largest 12 diffraction maxima, sorted by position, 10° ≤ 2θ ≤ 90°:
15.88°, rel. 8; 24.96°, rel. 100; 28.17°, rel. 13; 32.50°, rel. 9; 40.26°, rel. 22; 41.85°, rel. 40; 47.95°, rel. 31; 50.70°, rel. 13; 58.25°, rel. 7; 64.34°, rel. 7; 66.64°, rel. 11; 74.26°, rel. 13

Crystal structure
```
12
Lattice="6.3361 0.0000 0.0000 0.0000 6.3361 0.0000 0.0000 0.0000 11.7981" Properties=species:S:1:pos:R:3 pbc="T T T"
Cd 0.0000 3.1681 2.9495
Cd 3.1681 0.0000 8.8486
Cu 0.0000 0.0000 0.0000
Cu 0.0000 0.0000 5.8991
I 1.4670 1.6405 10.4144
I 1.4670 4.6956 7.2827
I 1.6405 1.4670 4.5154
I 1.6405 4.8691 1.3837
I 4.6956 1.4670 1.3837
I 4.6956 4.8691 4.5154
I 4.8691 1.6405 7.2827
I 4.8691 4.6956 10.4144
```



Starting from the GGA-PBE geometry in Alexandria, the X-ray powder pattern of Ac14LaTb was calculated for a wavelength of 1.5418 Å.
Kinematic intensities with the Lorentz-polarization factor, no thermal factor.

Largest 12 diffraction maxima, sorted by position, 10° ≤ 2θ ≤ 90°:
27.60°, rel. 100; 31.80°, rel. 17; 32.06°, rel. 34; 45.78°, rel. 26; 45.97°, rel. 13; 54.12°, rel. 16; 54.46°, rel. 32; 56.98°, rel. 14; 73.67°, rel. 13; 73.96°, rel. 6; 76.25°, rel. 6; 84.98°, rel. 9

Crystal structure
```
16
Lattice="11.2565 0.0000 0.0000 0.0000 5.5844 5.5840 0.0000 -5.5844 5.5840" Properties=species:S:1:pos:R:3 pbc="T T T"
Ac 0.0000 0.0000 0.0000
Ac 0.0000 -2.7834 2.7899
Ac 0.0000 2.7834 2.7899
Ac 0.0000 0.0000 5.5775
Ac 2.8638 0.0000 8.3839
Ac 2.8756 -2.8037 5.5810
Ac 2.8756 2.8037 5.5810
Ac 2.8892 0.0000 2.7772
Ac 5.6283 -2.7805 8.3731
Ac 5.6283 2.7805 8.3731
Ac 8.3674 0.0000 2.7772
Ac 8.3809 -2.8037 5.5810
Ac 8.3809 2.8037 5.5810
Ac 8.3927 0.0000 8.3839
La 5.6283 0.0000 5.5850
Tb 5.6283 0.0000 11.1616
```



Starting from the GGA-PBE geometry in Alexandria, the X-ray powder pattern of Sr2Mg5Ga3 was calculated for a wavelength of 1.5418 Å.
Kinematic intensities with the Lorentz-polarization factor, no thermal factor.

Largest 12 diffraction maxima, sorted by position, 10° ≤ 2θ ≤ 90°:
27.93°, rel. 30; 28.94°, rel. 73; 31.36°, rel. 100; 34.58°, rel. 21; 35.22°, rel. 27; 39.91°, rel. 63; 40.83°, rel. 26; 47.53°, rel. 26; 50.04°, rel. 31; 57.71°, rel. 21; 63.75°, rel. 21; 67.16°, rel. 21

Crystal structure
```
10
Lattice="4.5181 0.0000 0.0000 0.0000 4.5181 0.0000 0.0000 0.0000 12.6711" Properties=species:S:1:pos:R:3 pbc="T T T"
Sr 0.0000 2.2591 2.7475
Sr 2.2591 0.0000 9.9236
Mg 0.0000 0.0000 6.3355
Mg 0.0000 2.2591 8.3626
Mg 2.2591 0.0000 4.3084
Mg 2.2591 2.2591 0.0000
Mg 2.2591 2.2591 6.3355
Ga 0.0000 0.0000 0.0000
Ga 0.0000 2.2591 11.0850
Ga 2.2591 0.0000 1.5860
```



What did the fourth record say?
Starting from the GGA-PBE geometry in Alexandria, the X-ray powder pattern of HfAg4Se4 was calculated for a wavelength of 1.5418 Å.
Kinematic intensities with the Lorentz-polarization factor, no thermal factor.

Largest 12 diffraction maxima, sorted by position, 10° ≤ 2θ ≤ 90°:
15.86°, rel. 42; 24.80°, rel. 80; 26.18°, rel. 15; 28.35°, rel. 16; 38.97°, rel. 15; 40.53°, rel. 53; 41.32°, rel. 100; 48.10°, rel. 24; 49.50°, rel. 14; 58.66°, rel. 17; 74.27°, rel. 33; 75.88°, rel. 15

Crystal structure
```
9
Lattice="-3.1477 3.1477 6.0701 3.1477 -3.1477 6.0701 3.1477 3.1477 -6.0701" Properties=species:S:1:pos:R:3 pbc="T T T"
Hf 0.0000 0.0000 0.0000
Ag 3.1477 0.0000 0.0000
Ag 0.0000 0.0000 3.1439
Ag 0.0000 3.1477 0.0000
Ag 0.0000 0.0000 8.9964
Se 1.6630 -1.6630 4.5820
Se 1.4847 1.4847 1.4882
Se -1.6630 1.6630 4.5820
Se 1.6630 1.6630 7.5583
```